SrAs3: simulated powder diffraction line list (a wavelength of 1.5418 Å), based on a structure optimized by DFT (PBE).

The 10 most intense peaks (10° ≤ 2θ ≤ 80°), in order of rising 2θ:
2θ 24.3, rel. 22, hkl 1 -1 0; 2θ 30.1, rel. 100, hkl 1 0 2; 2θ 30.7, rel. 58, hkl 2 1 1; 2θ 31.1, rel. 78, hkl 1 2 0; 2θ 32.1, rel. 46, hkl 0 2 1; 2θ 32.4, rel. 86, hkl 2 0 0; 2θ 37.5, rel. 19, hkl 1 -2 0; 2θ 39.0, rel. 21, hkl 1 0 -2; 2θ 46.7, rel. 56, hkl 0 2 -2; 2θ 56.2, rel. 18, hkl -1 1 3

Atomic structure:
```
data_SrAs3
_chemical_formula_sum 'Sr2 As6'
_cell_length_a 6.0222
_cell_length_b 6.1871
_cell_length_c 6.2440
_cell_angle_alpha 77.69
_cell_angle_beta 70.18
_cell_angle_gamma 74.26
_space_group_name_H-M_alt 'P -1'
_space_group_IT_number 2
loop_
_space_group_symop_operation_xyz
'x,y,z'
'-x,-y,-z'
loop_
_atom_site_label
_atom_site_type_symbol
_atom_site_fract_x
_atom_site_fract_y
_atom_site_fract_z
_atom_site_occupancy
Sr1 Sr 0.1614 0.1778 0.1485 1
As1 As 0.2879 0.4999 0.5087 1
As2 As 0.2933 0.0899 0.6147 1
As3 As 0.3167 0.6365 0.0992 1
```

***

Sr2TmGaCu2O7: simulated powder diffraction line list (a wavelength of 1.5418 Å), based on a structure optimized by DFT (PBE).

The 10 most intense peaks (10° ≤ 2θ ≤ 80°), in order of rising 2θ:
2θ 23.1, rel. 10, hkl 0 1 1; 2θ 24.4, rel. 10, hkl 2 1 1; 2θ 32.6, rel. 29, hkl 0 2 0; 2θ 32.9, rel. 100, hkl 6 1 1; 2θ 33.3, rel. 30, hkl 0 0 2; 2θ 39.0, rel. 32, hkl 8 1 1; 2θ 47.3, rel. 31, hkl 0 2 2; 2θ 58.4, rel. 17, hkl 6 3 1; 2θ 59.2, rel. 18, hkl 6 1 3; 2θ 62.5, rel. 8, hkl 8 3 1

Atomic structure:
```
data_Sr2TmGaCu2O7
_chemical_formula_sum 'Sr8 Tm4 Ga4 Cu8 O28'
_cell_length_a 23.1363
_cell_length_b 5.4941
_cell_length_c 5.3852
_cell_angle_alpha 90.00
_cell_angle_beta 90.00
_cell_angle_gamma 90.00
_space_group_name_H-M_alt 'I m a 2'
_space_group_IT_number 46
loop_
_space_group_symop_operation_xyz
'x,y,z'
'-x,-y,z'
'-x+1/2,y,z'
'x+1/2,-y,z'
'x+1/2,y+1/2,z+1/2'
'-x+1/2,-y+1/2,z+1/2'
'-x,y+1/2,z+1/2'
'x,-y+1/2,z+1/2'
loop_
_atom_site_label
_atom_site_type_symbol
_atom_site_fract_x
_atom_site_fract_y
_atom_site_fract_z
_atom_site_occupancy
Sr1 Sr 0.1506 0.0158 0.0000 1
Tm1 Tm 0.0000 0.0000 0.0012 1
Ga1 Ga 0.2500 0.5679 0.9578 1
Cu1 Cu 0.0705 0.5008 0.0010 1
O1 O 0.0597 0.2488 0.2496 1
O2 O 0.0626 0.7493 0.2519 1
O3 O 0.1761 0.0448 0.5209 1
O4 O 0.2500 0.6154 0.6039 1
```

***

Ni3Pb2SeS: simulated powder diffraction line list (a wavelength of 1.5418 Å), based on a structure optimized by DFT (PBE).

The 10 most intense peaks (10° ≤ 2θ ≤ 80°), in order of rising 2θ:
2θ 22.0, rel. 60, hkl 0 1 2; 2θ 31.1, rel. 94, hkl 1 0 4; 2θ 31.4, rel. 100, hkl 1 1 0; 2θ 38.2, rel. 28, hkl 0 0 6; 2θ 38.7, rel. 69, hkl 2 0 2; 2θ 44.8, rel. 87, hkl 0 2 4; 2θ 50.3, rel. 22, hkl 1 1 6; 2θ 55.8, rel. 37, hkl 2 1 4; 2θ 64.9, rel. 24, hkl 2 0 8; 2θ 65.6, rel. 29, hkl 2 2 0

Atomic structure:
```
data_Ni3Pb2SeS
_chemical_formula_sum 'Ni9 Pb6 Se3 S3'
_cell_length_a 5.6902
_cell_length_b 5.6902
_cell_length_c 14.1462
_cell_angle_alpha 90.00
_cell_angle_beta 90.00
_cell_angle_gamma 120.00
_space_group_name_H-M_alt 'R 3 m'
_space_group_IT_number 160
_space_group_name_Hall 'R 3 -2"'
loop_
_atom_site_label
_atom_site_type_symbol
_atom_site_fract_x
_atom_site_fract_y
_atom_site_fract_z
_atom_site_occupancy
Ni1 Ni 0.0069 0.5035 0.0000 1
Pb1 Pb 0.0000 0.0000 0.0032 1
Pb2 Pb 0.0000 0.0000 0.5023 1
Se1 Se 0.0000 0.0000 0.7791 1
S1 S 0.0000 0.0000 0.2309 1
```